Simulated powder XRD pattern of Ti2NiB2 for Cu Kα, from a PBE-relaxed structure.
No peak broadening, texture or thermal motion is included.

Structure:
Unit cell a=5.5891 b=5.5891 c=3.2678 alpha=90.00 beta=90.00 gamma=148.69
Sites, in units of the cell vectors:
Ti: 0.1375 0.8625 0.0000
Ti: 0.8625 0.1375 0.0000
Ni: 0.5000 0.5000 0.5000
B: 0.2939 0.7061 0.5000
B: 0.7061 0.2939 0.5000

The 10 most intense peaks (10 to 90 degrees two-theta), sorted by position:
two_theta, d (Å), I_rel
16.47, 5.382, 17
32.04, 2.793, 27
39.01, 2.309, 64
41.60, 2.171, 100
43.57, 2.077, 66
52.20, 1.752, 19
56.31, 1.634, 17
70.62, 1.334, 19
75.21, 1.263, 18
78.34, 1.221, 20